No. 1
For La4TlBiC, the PBE geometry in Alexandria gives the theoretical powder X-ray diffraction pattern in this record (Cu Ka).
Neutral-atom scattering factors, no anomalous dispersion.

Cell and atoms:
abc: 9.3428 9.3428 7.2005
angles: 90.00 90.00 134.59
Fractional coordinates of all 14 atoms:
La: 0.0000 0.5000 0.0000
La: 0.0000 0.5000 0.5000
La: 0.0781 0.9219 0.7500
La: 0.4107 0.5893 0.7500
La: 0.5000 0.0000 0.0000
La: 0.5000 0.0000 0.5000
La: 0.5893 0.4107 0.2500
La: 0.9219 0.0781 0.2500
Tl: 0.1112 0.8888 0.2500
Tl: 0.8888 0.1112 0.7500
Bi: 0.3903 0.6097 0.2500
Bi: 0.6097 0.3903 0.7500
C: 0.2698 0.7302 0.7500
C: 0.7302 0.2698 0.2500

Most intense lines, 2θ = 15–90°, most intense first:
2theta, I/Imax
32.39, 100
35.22, 61
26.82, 60
61.43, 33
47.71, 32
24.71, 28

No. 2
For Li2BiPCO7, the PBE geometry in Alexandria gives the theoretical powder X-ray diffraction pattern in this record (Cu Ka).
Neutral-atom scattering factors, no anomalous dispersion.

Cell and atoms:
abc: 4.9875 6.9485 9.1630
angles: 90.00 100.09 90.00
Fractional coordinates of all 24 atoms:
Li: 0.1478 0.0000 0.0703
Li: 0.3191 0.7748 0.7680
Li: 0.6809 0.2748 0.2320
Li: 0.8522 0.5000 0.9297
Bi: 0.2217 0.6330 0.3422
Bi: 0.7783 0.1330 0.6578
P: 0.2270 0.1431 0.3868
P: 0.7730 0.6431 0.6132
C: 0.3926 0.5997 0.0530
C: 0.6074 0.0997 0.9470
O: 0.0740 0.3113 0.2963
O: 0.1464 0.6664 0.0624
O: 0.1544 0.9603 0.2893
O: 0.1553 0.1226 0.5432
O: 0.4587 0.0356 0.8255
O: 0.4598 0.6837 0.5894
O: 0.4797 0.6000 0.9304
O: 0.5203 0.1000 0.0696
O: 0.5402 0.1837 0.4106
O: 0.5413 0.5356 0.1745
O: 0.8447 0.6226 0.4568
O: 0.8456 0.4603 0.7107
O: 0.8536 0.1664 0.9376
O: 0.9260 0.8113 0.7037

Most intense lines, 2θ = 15–90°, most intense first:
2theta, I/Imax
22.12, 100
16.10, 67
25.64, 52
24.34, 37
19.00, 30
39.97, 26

No. 3
For Pm2BiC2N6, the PBE geometry in Alexandria gives the theoretical powder X-ray diffraction pattern in this record (Cu Ka).
Neutral-atom scattering factors, no anomalous dispersion.

Cell and atoms:
abc: 5.2567 5.4030 6.4283
angles: 112.87 103.58 101.29
Fractional coordinates of all 11 atoms:
Pm: 0.2347 0.1022 0.3181
Pm: 0.7653 0.8978 0.6819
Bi: 0.5000 0.5000 0.0000
C: 0.0297 0.5157 0.2480
C: 0.9703 0.4843 0.7520
N: 0.0838 0.2760 0.6690
N: 0.1275 0.7573 0.9036
N: 0.3156 0.6027 0.3285
N: 0.6844 0.3973 0.6715
N: 0.8725 0.2427 0.0964
N: 0.9162 0.7240 0.3310

Most intense lines, 2θ = 15–90°, most intense first:
2theta, I/Imax
28.33, 100
26.40, 90
21.69, 81
31.09, 62
29.91, 50
28.90, 46

No. 4
For RbBiC4S4N4, the PBE geometry in Alexandria gives the theoretical powder X-ray diffraction pattern in this record (Cu Ka).
Neutral-atom scattering factors, no anomalous dispersion.

Cell and atoms:
abc: 8.1453 11.2708 6.8872
angles: 90.00 90.00 90.00
Fractional coordinates of all 28 atoms:
Rb: 0.0000 0.0000 0.1590
Rb: 0.5000 0.5000 0.8410
Bi: 0.0000 0.5000 0.5536
Bi: 0.5000 0.0000 0.4464
C: 0.0503 0.3647 0.9430
C: 0.1904 0.7636 0.6087
C: 0.3096 0.2636 0.3913
C: 0.4497 0.8647 0.0570
C: 0.5503 0.1353 0.0570
C: 0.6904 0.7364 0.3913
C: 0.8096 0.2364 0.6087
C: 0.9497 0.6353 0.9430
S: 0.0572 0.6854 0.1186
S: 0.1748 0.9063 0.6294
S: 0.3252 0.4063 0.3706
S: 0.4428 0.1854 0.8814
S: 0.5572 0.8146 0.8814
S: 0.6748 0.5937 0.3706
S: 0.8252 0.0937 0.6294
S: 0.9428 0.3146 0.1186
N: 0.1300 0.4036 0.8101
N: 0.2008 0.6583 0.5963
N: 0.2992 0.1583 0.4037
N: 0.3700 0.9036 0.1899
N: 0.6300 0.0964 0.1899
N: 0.7008 0.8417 0.4037
N: 0.7992 0.3417 0.5963
N: 0.8700 0.5964 0.8101

Most intense lines, 2θ = 15–90°, most intense first:
2theta, I/Imax
29.23, 100
18.62, 70
15.73, 42
27.02, 42
28.13, 32
43.17, 29

No. 5
For Na5Bi2PC4O16, the PBE geometry in Alexandria gives the theoretical powder X-ray diffraction pattern in this record (Cu Ka).
Neutral-atom scattering factors, no anomalous dispersion.

Cell and atoms:
abc: 10.5280 10.4306 10.3150
angles: 60.99 60.05 58.96
Fractional coordinates of all 56 atoms:
Na: 0.1933 0.1933 0.8067
Na: 0.1943 0.8057 0.1943
Na: 0.1960 0.8040 0.8040
Na: 0.5563 0.9437 0.9437
Na: 0.5595 0.9405 0.5595
Na: 0.8040 0.1960 0.1960
Na: 0.8057 0.1943 0.8057
Na: 0.8067 0.8067 0.1933
Na: 0.9405 0.5595 0.9405
Na: 0.9437 0.5563 0.5563
Bi: 0.3656 0.8757 0.3824
Bi: 0.3763 0.3824 0.8757
Bi: 0.3824 0.3763 0.3656
Bi: 0.8757 0.3656 0.3763
P: 0.0000 0.0000 0.0000
P: 0.7500 0.7500 0.7500
C: 0.1347 0.5414 0.1639
C: 0.1600 0.1639 0.5414
C: 0.1639 0.1600 0.1347
C: 0.2193 0.5912 0.5990
C: 0.5414 0.1347 0.1600
C: 0.5912 0.2193 0.5906
C: 0.5906 0.5990 0.5912
C: 0.5990 0.5906 0.2193
O: 0.0054 0.5410 0.2846
O: 0.0317 0.1747 0.5420
O: 0.0322 0.2804 0.1436
O: 0.1436 0.5437 0.0322
O: 0.1690 0.2846 0.5410
O: 0.1747 0.0317 0.2516
O: 0.1835 0.9375 0.9387
O: 0.2148 0.4713 0.7275
O: 0.2199 0.5849 0.4753
O: 0.2240 0.7140 0.5956
O: 0.2516 0.5420 0.1747
O: 0.2804 0.0322 0.5437
O: 0.2846 0.1690 0.0054
O: 0.4664 0.5956 0.7140
O: 0.4713 0.2148 0.5863
O: 0.4753 0.7199 0.2199
O: 0.5410 0.0054 0.1690
O: 0.5420 0.2516 0.0317
O: 0.5437 0.1436 0.2804
O: 0.5656 0.8198 0.8084
O: 0.5849 0.2199 0.7199
O: 0.5863 0.7275 0.4713
O: 0.5956 0.4664 0.2240
O: 0.7140 0.2240 0.4664
O: 0.7199 0.4753 0.5849
O: 0.7275 0.5863 0.2148
O: 0.8062 0.8084 0.8198
O: 0.8084 0.8062 0.5656
O: 0.8198 0.5656 0.8062
O: 0.9375 0.1835 0.9403
O: 0.9387 0.9403 0.1835
O: 0.9403 0.9387 0.9375

Most intense lines, 2θ = 15–90°, most intense first:
2theta, I/Imax
20.88, 100
19.68, 69
20.28, 58
19.99, 56
30.95, 36
34.42, 36

No. 6
For Na2Bi2C4SO16, the PBE geometry in Alexandria gives the theoretical powder X-ray diffraction pattern in this record (Cu Ka).
Neutral-atom scattering factors, no anomalous dispersion.

Cell and atoms:
abc: 10.5927 10.5773 10.2517
angles: 61.11 60.96 57.93
Fractional coordinates of all 50 atoms:
Na: 0.0788 0.6712 0.0788
Na: 0.3288 0.9212 0.3288
Na: 0.6712 0.0788 0.6712
Na: 0.9212 0.3288 0.9212
Bi: 0.0000 0.5000 0.5000
Bi: 0.5000 0.0000 0.5000
Bi: 0.5000 0.5000 0.0000
Bi: 0.5000 0.5000 0.5000
C: 0.2666 0.6563 0.2891
C: 0.2880 0.2891 0.6563
C: 0.2891 0.2880 0.2666
C: 0.3437 0.7334 0.7120
C: 0.6563 0.2666 0.2880
C: 0.7109 0.7120 0.7334
C: 0.7120 0.7109 0.3437
C: 0.7334 0.3437 0.7109
S: 0.1250 0.1250 0.1250
S: 0.8750 0.8750 0.8750
O: 0.0630 0.2992 0.0689
O: 0.0689 0.0689 0.0630
O: 0.0689 0.0689 0.2992
O: 0.1435 0.6528 0.4084
O: 0.1561 0.2980 0.6666
O: 0.1599 0.4114 0.2782
O: 0.2782 0.6506 0.1599
O: 0.2954 0.4084 0.6528
O: 0.2980 0.1561 0.3793
O: 0.2992 0.0630 0.0689
O: 0.3334 0.6207 0.8439
O: 0.3472 0.8565 0.7046
O: 0.3494 0.7218 0.5886
O: 0.3793 0.6666 0.2980
O: 0.4084 0.2954 0.1435
O: 0.4114 0.1599 0.6506
O: 0.5886 0.8401 0.3494
O: 0.5916 0.7046 0.8565
O: 0.6207 0.3334 0.7020
O: 0.6506 0.2782 0.4114
O: 0.6528 0.1435 0.2954
O: 0.6666 0.3793 0.1561
O: 0.7008 0.9370 0.9311
O: 0.7020 0.8439 0.6207
O: 0.7046 0.5916 0.3472
O: 0.7218 0.3494 0.8401
O: 0.8401 0.5886 0.7218
O: 0.8439 0.7020 0.3334
O: 0.8565 0.3472 0.5916
O: 0.9311 0.9311 0.7008
O: 0.9311 0.9311 0.9370
O: 0.9370 0.7008 0.9311

Most intense lines, 2θ = 15–90°, most intense first:
2theta, I/Imax
20.21, 100
20.81, 80
19.31, 56
33.95, 51
24.56, 51
32.00, 47

No. 7
For Na2SiBiCO7, the PBE geometry in Alexandria gives the theoretical powder X-ray diffraction pattern in this record (Cu Ka).
Neutral-atom scattering factors, no anomalous dispersion.

Cell and atoms:
abc: 5.3961 6.9438 9.3963
angles: 90.00 90.09 90.00
Fractional coordinates of all 24 atoms:
Na: 0.2425 0.0078 0.2172
Na: 0.2425 0.4922 0.2172
Na: 0.7575 0.5078 0.7828
Na: 0.7575 0.9922 0.7828
Si: 0.2871 0.7500 0.5841
Si: 0.7129 0.2500 0.4159
Bi: 0.2050 0.2500 0.6272
Bi: 0.7950 0.7500 0.3728
C: 0.2637 0.2500 0.9211
C: 0.7363 0.7500 0.0789
O: 0.0442 0.2500 0.8596
O: 0.1680 0.5641 0.6682
O: 0.1680 0.9359 0.6682
O: 0.2031 0.7500 0.4141
O: 0.2951 0.2500 0.0537
O: 0.4068 0.2500 0.4088
O: 0.4564 0.2500 0.8322
O: 0.5436 0.7500 0.1678
O: 0.5932 0.7500 0.5912
O: 0.7049 0.7500 0.9463
O: 0.7969 0.2500 0.5859
O: 0.8320 0.0641 0.3318
O: 0.8320 0.4359 0.3318
O: 0.9558 0.7500 0.1404

Most intense lines, 2θ = 15–90°, most intense first:
2theta, I/Imax
15.87, 100
25.14, 91
20.85, 91
32.09, 65
22.89, 63
18.96, 58

No. 8
For Nd2Sm2Bi2C, the PBE geometry in Alexandria gives the theoretical powder X-ray diffraction pattern in this record (Cu Ka).
Neutral-atom scattering factors, no anomalous dispersion.

Cell and atoms:
abc: 9.0048 9.0048 9.0048
angles: 147.84 147.84 46.12
Fractional coordinates of all 7 atoms:
Nd: 0.1559 0.1559 0.0000
Nd: 0.8441 0.8441 0.0000
Sm: 0.0000 0.5000 0.5000
Sm: 0.5000 0.0000 0.5000
Bi: 0.3585 0.3585 0.0000
Bi: 0.6415 0.6415 0.0000
C: 0.0000 0.0000 0.0000

Most intense lines, 2θ = 15–90°, most intense first:
2theta, I/Imax
33.36, 100
36.01, 55
27.48, 50
63.06, 33
49.23, 32
32.42, 28

No. 9
For Nd4TlBiC, the PBE geometry in Alexandria gives the theoretical powder X-ray diffraction pattern in this record (Cu Ka).
Neutral-atom scattering factors, no anomalous dispersion.

Cell and atoms:
abc: 9.0030 9.0030 7.1330
angles: 90.00 90.00 133.30
Fractional coordinates of all 14 atoms:
Nd: 0.0000 0.5000 0.0000
Nd: 0.0000 0.5000 0.5000
Nd: 0.0876 0.9124 0.7500
Nd: 0.4077 0.5923 0.7500
Nd: 0.5000 0.0000 0.0000
Nd: 0.5000 0.0000 0.5000
Nd: 0.5923 0.4077 0.2500
Nd: 0.9124 0.0876 0.2500
Tl: 0.1121 0.8879 0.2500
Tl: 0.8879 0.1121 0.7500
Bi: 0.3918 0.6082 0.2500
Bi: 0.6082 0.3918 0.7500
C: 0.2505 0.7495 0.7500
C: 0.7495 0.2505 0.2500

Most intense lines, 2θ = 15–90°, most intense first:
2theta, I/Imax
33.17, 100
35.59, 58
27.23, 54
48.94, 35
62.39, 33
24.96, 26

No. 10
For TlBiC2O6, the PBE geometry in Alexandria gives the theoretical powder X-ray diffraction pattern in this record (Cu Ka).
Neutral-atom scattering factors, no anomalous dispersion.

Cell and atoms:
abc: 6.6954 6.6954 7.4204
angles: 105.54 105.54 94.67
Fractional coordinates of all 20 atoms:
Tl: 0.1148 0.8852 0.7500
Tl: 0.8852 0.1148 0.2500
Bi: 0.4109 0.5891 0.2500
Bi: 0.5891 0.4109 0.7500
C: 0.1570 0.3913 0.7420
C: 0.3913 0.1570 0.2420
C: 0.6087 0.8430 0.7580
C: 0.8430 0.6087 0.2580
O: 0.0340 0.6052 0.2712
O: 0.2216 0.2568 0.6144
O: 0.2568 0.2216 0.1144
O: 0.3124 0.5293 0.8851
O: 0.3948 0.9660 0.2288
O: 0.4707 0.6876 0.6149
O: 0.5293 0.3124 0.3851
O: 0.6052 0.0340 0.7712
O: 0.6876 0.4707 0.1149
O: 0.7432 0.7784 0.8856
O: 0.7784 0.7432 0.3856
O: 0.9660 0.3948 0.7288

Most intense lines, 2θ = 15–90°, most intense first:
2theta, I/Imax
27.12, 100
22.27, 84
26.15, 61
21.32, 55
34.53, 42
41.28, 34